Starting from a cell relaxed with PBE+U, the X-ray powder pattern of Na2ZnFeP2O8 was calculated for CuKα.

Structure:
```
Na2ZnFeP2O8
1.0
5.083 0.000 0.000
0.000 9.088 0.000
-5.047 0.000 6.942
Na Zn Fe P O
4 2 2 4 16
Direct
0.217 0.149 0.250 Na
0.217 0.351 0.750 Na
0.783 0.649 0.250 Na
0.783 0.851 0.750 Na
0.500 0.000 0.000 Zn
0.500 0.500 0.500 Zn
0.000 0.000 0.500 Fe
0.000 0.500 0.000 Fe
0.288 0.675 0.750 P
0.288 0.825 0.250 P
0.712 0.175 0.750 P
0.712 0.325 0.250 P
0.001 0.615 0.750 O
0.001 0.885 0.250 O
0.253 0.620 0.567 O
0.253 0.880 0.067 O
0.296 0.652 0.250 O
0.296 0.848 0.750 O
0.385 0.121 0.568 O
0.385 0.379 0.068 O
0.615 0.621 0.932 O
0.615 0.879 0.432 O
0.704 0.152 0.250 O
0.704 0.348 0.750 O
0.747 0.120 0.933 O
0.747 0.380 0.433 O
0.999 0.115 0.750 O
0.999 0.385 0.250 O
```

Principal peaks in the range 2θ from 10° to 80°, by angle:
hkl 1 1 -1, 20.0°, intensity 42; hkl 1 1 0, 23.8°, intensity 30; hkl 0 2 2, 32.5°, intensity 87; hkl 1 1 1, 32.7°, intensity 57; hkl 1 1 -3, 32.8°, intensity 56; hkl 1 3 -1, 34.5°, intensity 100; hkl 2 0 -2, 35.3°, intensity 31; hkl 0 4 2, 47.8°, intensity 32; hkl 2 2 0, 48.6°, intensity 25; hkl 2 2 -4, 48.8°, intensity 25